This entry pairs a crystal structure of MoW2Se2S4 with its computed powder XRD pattern. Radiation: copper Kα. Structure: a GGA-PBE-relaxed structure.

The 12 most intense peaks (15° ≤ 2θ ≤ 90°), in order of falling intensity:
two_theta  I_rel
38.55  100
36.91  93
46.77  80
31.98  69
57.02  59
34.25  51
44.50  38
32.56  34
58.46  26
17.93  23
81.11  21
51.67  20

Crystal structure
a b c (Å): 3.2313 3.2313 29.6780
angles (deg): 90.00 90.00 120.00
Positions (direct):
Mo (0.0000, 0.0000, 0.0000)
W (0.6667, 0.3333, 0.2314)
W (0.6667, 0.3333, 0.7686)
Se (0.6667, 0.3333, 0.0575)
Se (0.6667, 0.3333, 0.9425)
S (0.0000, 0.0000, 0.1789)
S (0.0000, 0.0000, 0.2838)
S (0.0000, 0.0000, 0.7162)
S (0.0000, 0.0000, 0.8211)



This entry pairs a crystal structure of VRe with its computed powder XRD pattern. Radiation: copper Kα. Structure: a GGA-PBE-relaxed structure.

The 12 most intense peaks (15° ≤ 2θ ≤ 90°), in order of falling intensity:
two_theta  I_rel
41.88  100
20.87  47
41.08  26
35.89  25
42.48  24
75.40  17
60.57  17
77.32  16
56.79  14
46.51  13
76.07  8
77.04  8

Crystal structure
a b c (Å): 2.6729 2.6729 4.2558
angles (deg): 90.00 90.00 110.58
Positions (direct):
V (0.0000, 0.0000, 0.0000)
Re (0.5000, 0.5000, 0.5000)



This entry pairs a crystal structure of ZrVFe with its computed powder XRD pattern. Radiation: copper Kα. Structure: a GGA-PBE-relaxed structure.

The 12 most intense peaks (15° ≤ 2θ ≤ 90°), in order of falling intensity:
two_theta  I_rel
41.64  100
38.74  90
42.25  50
35.10  49
71.65  28
42.36  24
65.45  22
74.27  16
67.39  15
65.31  12
44.21  11
40.72  10

Crystal structure
a b c (Å): 8.1940 5.1081 5.1081
angles (deg): 60.18 90.00 90.00
Positions (direct):
Zr (0.1807, 0.0000, 0.0000)
Zr (0.3071, 0.3334, 0.3334)
Zr (0.6929, 0.3334, 0.3334)
Zr (0.8193, 0.0000, 0.0000)
V (0.2322, 0.6680, 0.6680)
V (0.5000, 0.3298, 0.8323)
V (0.5000, 0.8323, 0.3298)
V (0.7678, 0.6680, 0.6680)
Fe (0.0000, 0.0103, 0.4942)
Fe (0.0000, 0.4924, 0.4924)
Fe (0.0000, 0.4942, 0.0103)
Fe (0.5000, 0.8309, 0.8309)